# Ti3AgO
Simulated powder XRD pattern, Cu Kα (λ = 1.5418 Å). Input: a cell relaxed with GGA-PBE.
Lines closer than 0.1° are merged.

Most intense lines, 2θ from 10° to 80°, in order of rising 2θ:
2θ 21.40, d 4.152, rel. 11.7
2θ 30.45, d 2.936, rel. 31.7
2θ 37.52, d 2.397, rel. 100.0
2θ 43.60, d 2.076, rel. 61.4
2θ 63.36, d 1.468, rel. 36.3
2θ 76.02, d 1.252, rel. 33.6

Structure:
abc: 4.152 4.152 4.152
angles: 90.00 90.00 90.00
Positions (direct):
1 Ti 0.000 0.000 0.500
2 Ti 0.000 0.500 0.000
3 Ti 0.500 0.000 0.000
4 Ag 0.500 0.500 0.500
5 O 0.000 0.000 0.000

# TaBeAl4
Simulated powder XRD pattern, Cu Kα (λ = 1.5418 Å). Input: a cell relaxed with GGA-PBE.
Lines closer than 0.1° are merged.

Most intense lines, 2θ from 10° to 80°, in order of rising 2θ:
2θ 21.32, d 4.168, rel. 76.2
2θ 24.67, d 3.609, rel. 58.9
2θ 35.16, d 2.552, rel. 55.0
2θ 41.49, d 2.177, rel. 100.0
2θ 43.42, d 2.084, rel. 24.8
2θ 67.41, d 1.389, rel. 31.9

Structure:
abc: 5.104 5.104 5.104
angles: 60.00 60.00 60.00
Positions (direct):
1 Ta 0.000 0.000 0.000
2 Be 0.250 0.250 0.250
3 Al 0.125 0.625 0.625
4 Al 0.625 0.125 0.625
5 Al 0.625 0.625 0.125
6 Al 0.625 0.625 0.625

- Which formula does entry 2 have?
  TaBeAl4